Computed powder X-ray diffraction pattern of P4Se3I2 for copper Kα, from a crystal structure in the Materials Project, relaxed with PBE.

Peak list (8 most intense, 10° ≤ 2θ ≤ 80°, low angle first)
| 2theta | I_rel |
| --- | --- |
| 14.33 | 44 |
| 17.20 | 65 |
| 22.13 | 69 |
| 24.35 | 37 |
| 25.60 | 80 |
| 26.18 | 100 |
| 30.57 | 38 |
| 45.42 | 46 |

Crystal structure
```
36
Lattice="-6.410 6.410 8.444 6.410 -6.410 8.444 6.410 6.410 -8.444" Properties=species:S:1:pos:R:3 pbc="T T T"
P 5.163 1.614 -1.854
P 1.614 -1.247 2.368
P 6.375 4.720 -4.673
P 4.796 7.657 -6.077
P 0.035 1.691 3.772
P 0.035 4.720 0.450
P 4.796 -1.247 10.299
P -0.035 8.101 0.450
P 1.614 7.657 1.854
P 5.163 4.796 6.077
P 1.247 4.796 6.590
P 1.691 -0.035 13.117
P 4.720 6.445 4.673
P -1.691 6.375 7.994
P 1.691 6.445 7.994
P 1.247 1.614 14.521
Se 7.463 1.613 -1.983
Se 4.797 5.357 -6.205
Se 6.410 0.000 1.050
Se 1.613 1.053 2.239
Se 0.000 0.000 5.272
Se 6.410 0.000 7.394
Se 1.613 5.357 1.983
Se 0.000 0.000 11.617
Se 4.797 1.053 10.428
Se 7.463 4.797 6.205
Se -1.053 4.797 6.461
Se -1.053 1.613 14.650
I 8.166 -2.870 4.566
I 3.540 -1.756 3.879
I 4.654 3.540 -0.343
I 9.280 1.756 3.879
I 2.870 -1.756 8.788
I 4.654 2.870 4.566
I 3.540 8.166 0.343
I 1.756 2.870 8.101
```